Record 1
For Nb2VP2, a crystal structure in Alexandria, relaxed with PBE gives the simulated PXRD pattern in this record (CuKα).
Kinematic intensities with the Lorentz-polarization factor, no thermal factor.

Main lines, low angle first (10 to 80 degrees two-theta):
| 2θ/deg | I (rel.) |
| --- | --- |
| 28.03 | 48 |
| 31.91 | 47 |
| 34.88 | 48 |
| 39.82 | 100 |
| 40.06 | 82 |
| 43.71 | 82 |

Lattice parameters (Å, degrees): 7.6834 7.6834 6.0489 90.00 90.00 153.99
Positions (direct):
Nb  0.0306  0.9694  0.5000
Nb  0.1858  0.8142  0.8610
Nb  0.8142  0.1858  0.3610
Nb  0.9694  0.0306  0.0000
V  0.3947  0.6053  0.6802
V  0.6053  0.3947  0.1802
P  0.1890  0.8110  0.3581
P  0.4380  0.5620  0.2947
P  0.5620  0.4380  0.7947
P  0.8110  0.1890  0.8581



Record 2
For NbVP, a crystal structure in Alexandria, relaxed with PBE gives the simulated PXRD pattern in this record (CuKα).
Kinematic intensities with the Lorentz-polarization factor, no thermal factor.

Main lines, low angle first (10 to 80 degrees two-theta):
| 2θ/deg | I (rel.) |
| --- | --- |
| 34.28 | 14 |
| 38.11 | 100 |
| 38.92 | 15 |
| 41.38 | 48 |
| 41.87 | 25 |
| 54.15 | 18 |

Lattice parameters (Å, degrees): 6.5963 3.3875 11.3962 90.00 90.02 90.00
Positions (direct):
Nb  0.0309  0.2500  0.2191
Nb  0.3551  0.7500  0.5844
Nb  0.4611  0.7500  0.8839
Nb  0.5389  0.2500  0.1161
Nb  0.6449  0.2500  0.4156
Nb  0.9691  0.7500  0.7809
V  0.0062  0.2500  0.5858
V  0.1383  0.2500  0.9592
V  0.3638  0.7500  0.2962
V  0.6362  0.2500  0.7038
V  0.8617  0.7500  0.0408
V  0.9938  0.7500  0.4142
P  0.2402  0.7500  0.0924
P  0.2478  0.2500  0.4225
P  0.2658  0.2500  0.7500
P  0.7342  0.7500  0.2500
P  0.7522  0.7500  0.5775
P  0.7598  0.2500  0.9076



Record 3
For PaNb2, a crystal structure in Alexandria, relaxed with PBE gives the simulated PXRD pattern in this record (CuKα).
Kinematic intensities with the Lorentz-polarization factor, no thermal factor.

Main lines, low angle first (10 to 80 degrees two-theta):
| 2θ/deg | I (rel.) |
| --- | --- |
| 21.71 | 32 |
| 36.13 | 100 |
| 38.08 | 83 |
| 53.44 | 22 |
| 67.59 | 21 |
| 68.80 | 15 |

Lattice parameters (Å, degrees): 8.1865 4.7271 3.1297 90.00 90.21 90.00
Positions (direct):
Pa  0.0000  0.0000  0.0000
Pa  0.5000  0.5000  0.0000
Nb  0.1663  0.5000  0.3186
Nb  0.3337  0.0000  0.6814
Nb  0.6663  0.0000  0.3186
Nb  0.8337  0.5000  0.6814



Record 4
For PaNbPd2, a crystal structure in Alexandria, relaxed with PBE gives the simulated PXRD pattern in this record (CuKα).
Kinematic intensities with the Lorentz-polarization factor, no thermal factor.

Main lines, low angle first (10 to 80 degrees two-theta):
| 2θ/deg | I (rel.) |
| --- | --- |
| 30.05 | 13 |
| 37.04 | 100 |
| 42.87 | 17 |
| 43.11 | 33 |
| 62.43 | 22 |
| 75.03 | 25 |

Lattice parameters (Å, degrees): 4.1966 4.1966 4.2187 90.00 90.00 90.00
Positions (direct):
Pa  0.0000  0.0000  0.0000
Nb  0.5000  0.5000  0.0000
Pd  0.0000  0.5000  0.5000
Pd  0.5000  0.0000  0.5000



Record 5
For PuPaNb, a crystal structure in Alexandria, relaxed with PBE gives the simulated PXRD pattern in this record (CuKα).
Kinematic intensities with the Lorentz-polarization factor, no thermal factor.

Main lines, low angle first (10 to 80 degrees two-theta):
| 2θ/deg | I (rel.) |
| --- | --- |
| 29.44 | 14 |
| 36.25 | 100 |
| 47.36 | 25 |
| 52.20 | 15 |
| 65.20 | 27 |
| 73.13 | 23 |

Lattice parameters (Å, degrees): 4.9571 4.9571 3.0344 90.00 90.00 120.00
Positions (direct):
Pu  0.0000  0.0000  0.0000
Pa  0.6667  0.3333  0.0000
Nb  0.3333  0.6667  0.5000



Record 6
For PaNbRu, a crystal structure in Alexandria, relaxed with PBE gives the simulated PXRD pattern in this record (CuKα).
Kinematic intensities with the Lorentz-polarization factor, no thermal factor.

Main lines, low angle first (10 to 80 degrees two-theta):
| 2θ/deg | I (rel.) |
| --- | --- |
| 31.96 | 21 |
| 36.97 | 61 |
| 38.32 | 100 |
| 53.28 | 21 |
| 67.51 | 38 |
| 70.16 | 12 |

Lattice parameters (Å, degrees): 3.4386 3.4386 9.6503 90.00 90.00 90.00
Positions (direct):
Pa  0.2500  0.2500  0.1045
Pa  0.7500  0.7500  0.8955
Nb  0.2500  0.2500  0.4286
Nb  0.7500  0.7500  0.5714
Ru  0.2500  0.2500  0.7480
Ru  0.7500  0.7500  0.2520



Record 7
For PaNb2S5, a crystal structure in Alexandria, relaxed with PBE gives the simulated PXRD pattern in this record (CuKα).
Kinematic intensities with the Lorentz-polarization factor, no thermal factor.

Main lines, low angle first (10 to 80 degrees two-theta):
| 2θ/deg | I (rel.) |
| --- | --- |
| 13.32 | 100 |
| 20.19 | 15 |
| 27.51 | 16 |
| 32.29 | 37 |
| 33.17 | 13 |
| 38.18 | 12 |

Lattice parameters (Å, degrees): 5.4926 12.2189 6.8182 90.00 102.87 90.00
Positions (direct):
Pa  0.0000  0.0000  0.0000
Pa  0.5000  0.5000  0.0000
Nb  0.0000  0.2956  0.0000
Nb  0.0000  0.7044  0.0000
Nb  0.5000  0.2044  0.0000
Nb  0.5000  0.7956  0.0000
S  0.0000  0.5000  0.0000
S  0.2159  0.1669  0.2420
S  0.2159  0.8331  0.2420
S  0.2841  0.3331  0.7580
S  0.2841  0.6669  0.7580
S  0.5000  0.0000  0.0000
S  0.7159  0.3331  0.2420
S  0.7159  0.6669  0.2420
S  0.7841  0.1669  0.7580
S  0.7841  0.8331  0.7580



Record 8
For PaNb2S6, a crystal structure in Alexandria, relaxed with PBE gives the simulated PXRD pattern in this record (CuKα).
Kinematic intensities with the Lorentz-polarization factor, no thermal factor.

Main lines, low angle first (10 to 80 degrees two-theta):
| 2θ/deg | I (rel.) |
| --- | --- |
| 17.45 | 100 |
| 28.54 | 30 |
| 29.38 | 27 |
| 34.38 | 18 |
| 40.70 | 59 |
| 52.12 | 20 |

Lattice parameters (Å, degrees): 7.3697 7.3697 7.3697 48.72 48.72 48.72
Positions (direct):
Pa  0.0000  0.0000  0.0000
Nb  0.1670  0.1670  0.1670
Nb  0.8330  0.8330  0.8330
S  0.0865  0.4236  0.7603
S  0.2397  0.9135  0.5764
S  0.4236  0.7603  0.0865
S  0.5764  0.2397  0.9135
S  0.7603  0.0865  0.4236
S  0.9135  0.5764  0.2397